1.
This entry pairs a crystal structure of Ba2Ho2Al3Si5N11O3 with its calculated powder XRD pattern. Radiation: λ = 1.5418 Å (Cu Kα). Structure: DFT lattice parameters and positions (GGA-PBE).
Kinematic intensities with the Lorentz-polarization factor, no thermal factor.

Peak list (10 most intense, 2θ from 15° to 90°, most intense first)
d 3.836, 23.19 deg, intensity 100, (0 1 2)
d 3.168, 28.17 deg, intensity 98, (1 1 0)
d 2.728, 32.83 deg, intensity 62, (1 1 2)
d 2.047, 44.24 deg, intensity 45, (1 1 4)
d 2.996, 29.82 deg, intensity 45, (0 1 3)
d 2.658, 33.72 deg, intensity 41, (0 2 1)
d 1.584, 58.24 deg, intensity 34, (2 2 0)
d 5.488, 16.15 deg, intensity 33, (1 0 0)
d 2.410, 37.31 deg, intensity 29, (1 0 4)
d 1.935, 46.97 deg, intensity 29, (1 2 2)

Crystal structure
Cell lengths 6.3365, 6.3365, 10.7299 Å; angles 90.00, 90.00, 120.00 degrees
Space group P3m1 (No. 156)
Inequivalent atoms, fractional coordinates:
1 Ba 0.0000 0.0000 0.0000 x1
2 Ba 0.3333 0.6667 0.5233 x1
3 Ho 0.0000 0.0000 0.4997 x1
4 Ho 0.3333 0.6667 0.2220 x1
5 Al 0.3460 0.1730 0.3057 x3
6 Si 0.0083 0.5042 0.8026 x3
7 Si 0.6667 0.3333 0.0872 x1
8 Si 0.6667 0.3333 0.5841 x1
9 N 0.1547 0.3094 0.3591 x3
10 N 0.3743 0.1872 0.1369 x3
11 N 0.5248 0.0496 0.6519 x3
12 N 0.6667 0.3333 0.4085 x1
13 N 0.6667 0.3333 0.8905 x1
14 O 0.1969 0.3937 0.8456 x3

=====

2.
This entry pairs a crystal structure of TiP2S6 with its calculated powder XRD pattern. Radiation: λ = 1.5418 Å (Cu Kα). Structure: DFT lattice parameters and positions (GGA-PBE).
Kinematic intensities with the Lorentz-polarization factor, no thermal factor.

Peak list (10 most intense, 2θ from 15° to 90°, most intense first)
d 2.677, 33.47 deg, intensity 100, (2 0 6)
d 3.329, 26.78 deg, intensity 49, (2 2 0)
d 5.061, 17.52 deg, intensity 44, (0 2 2)
d 2.877, 31.09 deg, intensity 42, (0 4 0)
d 5.320, 16.66 deg, intensity 41, (0 0 4)
d 1.960, 46.33 deg, intensity 41, (2 4 6)
d 2.203, 40.96 deg, intensity 36, (1 5 1)
d 3.586, 24.83 deg, intensity 27, (1 1 5)
d 2.248, 40.10 deg, intensity 22, (3 1 5)
d 1.624, 56.67 deg, intensity 20, (3 5 5)

Crystal structure
Cell lengths 8.1637, 11.5061, 21.2808 Å; angles 90.00, 90.00, 90.00 degrees
Space group Fdd2 (No. 43)
Inequivalent atoms, fractional coordinates:
1 Ti 0.0000 0.0000 0.0000 x8
2 P 0.1066 0.4368 0.3355 x16
3 S 0.0175 0.2880 0.5144 x16
4 S 0.0205 0.2724 0.3242 x16
5 S 0.0386 0.2256 0.1705 x16

=====

3.
This entry pairs a crystal structure of LiNd2Ir with its calculated powder XRD pattern. Radiation: λ = 1.5418 Å (Cu Kα). Structure: DFT lattice parameters and positions (GGA-PBE).
Kinematic intensities with the Lorentz-polarization factor, no thermal factor.

Peak list (10 most intense, 2θ from 15° to 90°, most intense first)
d 2.545, 35.26 deg, intensity 100, (2 2 0)
d 1.469, 63.29 deg, intensity 37, (4 2 2)
d 4.156, 21.38 deg, intensity 34, (1 1 1)
d 2.170, 41.61 deg, intensity 18, (3 1 1)
d 1.800, 50.73 deg, intensity 18, (4 0 0)
d 1.138, 85.27 deg, intensity 16, (6 2 0)
d 1.273, 74.57 deg, intensity 11, (4 4 0)
d 1.652, 55.65 deg, intensity 8, (3 3 1)
d 1.385, 67.62 deg, intensity 6, (5 1 1)
d 1.217, 78.63 deg, intensity 6, (5 3 1)

Crystal structure
Cell lengths 7.1987, 7.1987, 7.1987 Å; angles 90.00, 90.00, 90.00 degrees
Space group Fm-3m (No. 225)
Inequivalent atoms, fractional coordinates:
1 Li 0.0000 0.0000 0.0000 x4
2 Nd 0.2500 0.2500 0.2500 x8
3 Ir 0.0000 0.0000 0.5000 x4